This entry pairs a crystal structure of ThMnFe2O6 with its calculated powder diffraction line list. Radiation: copper Kα. Structure: a cell relaxed with PBE+U.

Structure:
a = 11.1883 Å, b = 6.0541 Å, c = 3.9404 Å
α = 90.00°, β = 103.92°, γ = 90.00°
Space group C2/m (No. 12)
Asymmetric unit:
Th 0.0000 0.0000 0.0000 [2 per cell]
Mn 0.0000 0.5000 0.5000 [2 per cell]
Fe 0.2495 0.0000 0.5670 [4 per cell]
O 0.1056 0.2744 0.3981 [8 per cell]
O 0.2048 0.0000 0.0163 [4 per cell]

Principal peaks in the range 5° ≤ 2θ ≤ 70°, in order of rising 2θ:
| two_theta | I (rel.) |
| --- | --- |
| 16.32 | 38 |
| 16.77 | 94 |
| 25.05 | 51 |
| 27.13 | 68 |
| 29.51 | 61 |
| 30.41 | 100 |
| 32.99 | 42 |
| 33.18 | 57 |
| 39.08 | 22 |
| 43.85 | 27 |
| 44.85 | 62 |
| 60.38 | 24 |

This entry pairs a crystal structure of PrV2O6 with its calculated powder diffraction line list. Radiation: copper Kα. Structure: a cell relaxed with PBE+U.

Structure:
a = 5.4633 Å, b = 5.4065 Å, c = 7.5877 Å
α = 90.00°, β = 90.64°, γ = 90.00°
Space group P2_1 (No. 4)
Asymmetric unit:
Pr 0.2069 0.0000 0.2583 [2 per cell]
V 0.2600 0.4935 0.4972 [2 per cell]
V 0.2700 0.5349 0.9916 [2 per cell]
O 0.0270 0.7429 0.5241 [2 per cell]
O 0.0441 0.7658 0.9704 [2 per cell]
O 0.2438 0.4339 0.7617 [2 per cell]
O 0.2618 0.5517 0.2392 [2 per cell]
O 0.4570 0.2021 0.0349 [2 per cell]
O 0.4675 0.2261 0.4727 [2 per cell]

Principal peaks in the range 5° ≤ 2θ ≤ 70°, in order of rising 2θ:
| two_theta | I (rel.) |
| --- | --- |
| 19.92 | 28 |
| 20.16 | 100 |
| 32.79 | 18 |
| 33.08 | 55 |
| 33.32 | 40 |
| 38.94 | 19 |
| 39.08 | 18 |
| 39.36 | 17 |
| 40.98 | 12 |
| 47.31 | 28 |
| 47.96 | 16 |
| 52.16 | 10 |

Number 1 is which compound? ThMnFe2O6